Diffraction record for La6Si2CCl3. The XRD peak list is computed, not measured: it uses a structure optimized by DFT (PBE) and copper Kα.

Structure:
```
data_La6Si2CCl3
_cell_length_a 7.2726
_cell_length_b 12.5718
_cell_length_c 7.5755
_cell_angle_alpha 90.00
_cell_angle_beta 108.66
_cell_angle_gamma 90.00
_space_group_name_H-M_alt 'C 1 2/m 1'
_space_group_IT_number 12
_space_group_name_Hall '-C 2y'
loop_
_atom_site_label
_atom_site_type_symbol
_atom_site_fract_x
_atom_site_fract_y
_atom_site_fract_z
La1 La 0.2244 0.1533 0.2132
La2 La 0.2341 0.0000 0.7862
Si1 Si 0.0000 0.3336 0.0000
C1 C 0.0000 0.0000 0.0000
Cl1 Cl 0.0000 0.1727 0.5000
Cl2 Cl 0.0000 0.5000 0.5000
```

The 8 most intense peaks (2θ from 15° to 90°), low angle first:
- hkl 0 0 2, 24.81 deg, intensity 30
- hkl 1 3 -1, 25.88 deg, intensity 88
- hkl 2 0 -2, 29.65 deg, intensity 51
- hkl 1 3 1, 29.68 deg, intensity 100
- hkl 2 0 2, 41.77 deg, intensity 45
- hkl 0 6 0, 43.13 deg, intensity 51
- hkl 0 6 2, 50.40 deg, intensity 21
- hkl 2 6 2, 61.57 deg, intensity 23